Calculated XRD peak list of AcMnP2S8 for CuKα, from a structure optimized by DFT (PBE).

Unit cell a=6.4486 b=6.4486 c=8.7065 alpha=90.00 beta=90.00 gamma=120.00
Space group P-3m1 (No. 164)
One atom of each set of equivalent atoms:
Ac  0.0000  0.0000  0.0000 (multiplicity 1)
Mn  0.0000  0.0000  0.5000 (multiplicity 1)
P  0.3333  0.6667  0.2184 (multiplicity 2)
S  0.1585  0.3169  0.2914 (multiplicity 6)
S  0.3333  0.6667  0.9870 (multiplicity 2)

Principal peaks in the range 10 to 90 degrees two-theta, by angle:
2θ (°), I/Imax, index
10.16, 47.5, 0 0 1
15.87, 100.0, 1 0 0
18.88, 45.6, 0 1 1
25.95, 51.5, 1 0 2
27.67, 48.1, 1 1 0
29.54, 47.0, 1 1 1
33.71, 17.8, 0 2 1
34.62, 53.4, 1 1 2
34.84, 18.7, 1 0 3
38.29, 47.2, 2 0 2
47.89, 26.2, 2 1 2
50.60, 18.7, 1 1 4

=====

Calculated XRD peak list of Ac2MnPdS6 for CuKα, from a structure optimized by DFT (PBE).

Unit cell a=6.5924 b=9.3733 c=6.9299 alpha=90.00 beta=90.00 gamma=90.00
Space group Pmmn (No. 59, origin choice 2)
One atom of each set of equivalent atoms:
Ac  0.2500  0.0100  0.2276 (multiplicity 4)
Mn  0.2500  0.7500  0.7495 (multiplicity 2)
Pd  0.2500  0.2500  0.7394 (multiplicity 2)
S  0.0030  0.7500  0.0035 (multiplicity 4)
S  0.0052  0.2500  0.4800 (multiplicity 4)
S  0.2500  0.5032  0.7855 (multiplicity 4)

Principal peaks in the range 10 to 90 degrees two-theta, by angle:
2θ (°), I/Imax, index
18.58, 15.6, 1 0 1
25.71, 25.6, 0 0 2
26.65, 100.0, 1 2 1
27.05, 24.7, 2 0 0
32.13, 22.1, 0 2 2
33.23, 22.5, 2 2 0
37.67, 43.2, 2 0 2
38.41, 21.1, 0 4 0
45.91, 21.8, 1 2 3
46.80, 10.1, 0 4 2
47.57, 32.1, 3 2 1
54.89, 27.4, 2 4 2